CoNiO2: theoretical powder diffractogram (CuKα), based on a GGA+U-relaxed structure.
Intensities are scaled so that the largest is 100.

Largest 4 diffraction maxima, in order of rising 2θ, 5 to 70 degrees two-theta:
- d = 2.462 Å, I 73
- d = 2.132 Å, I 100
- d = 1.509 Å, I 29
- d = 1.507 Å, I 29

Structure:
```
data_CoNiO2
_chemical_formula_sum 'Co4 Ni4 O8'
_space_group_name_H-M_alt 'P 1'
_space_group_IT_number 1
_cell_length_a 6.7501
_cell_length_b 6.7501
_cell_length_c 5.2180
_cell_angle_alpha 104.90
_cell_angle_beta 104.90
_cell_angle_gamma 127.00
loop_
_space_group_symop_operation_xyz
'x,y,z'
loop_
_atom_site_label
_atom_site_type_symbol
_atom_site_fract_x
_atom_site_fract_y
_atom_site_fract_z
Co1 Co 0.0620 0.9380 0.7500
Co2 Co 0.1876 0.8124 0.2500
Co3 Co 0.8124 0.1876 0.7500
Co4 Co 0.9380 0.0620 0.2500
Ni1 Ni 0.3126 0.6874 0.7500
Ni2 Ni 0.4371 0.5629 0.2500
Ni3 Ni 0.5629 0.4371 0.7500
Ni4 Ni 0.6874 0.3126 0.2500
O1 O 0.0640 0.4390 0.2538
O2 O 0.1935 0.3182 0.7550
O3 O 0.3182 0.1935 0.2550
O4 O 0.4390 0.0640 0.7538
O5 O 0.5610 0.9360 0.2462
O6 O 0.6818 0.8065 0.7450
O7 O 0.8065 0.6818 0.2450
O8 O 0.9360 0.5610 0.7462
```